1.
Diffraction record for K2NaTi2Fe7Si8H4O31. The powder XRD pattern is calculated, not measured: it uses a cell relaxed with GGA+U and Cu Kα, 1.54184 Å.

Structure:
```
K2NaTi2Fe7Si8H4O31
1.0
5.450 0.000 0.000
-0.881 11.689 0.000
-2.715 -5.116 10.594
K Na Ti Fe Si H O
2 1 2 7 8 4 31
Direct
0.129 0.497 0.256
0.871 0.503 0.744
0.500 0.500 0.000
0.070 0.679 0.076
0.930 0.321 0.924
0.000 0.000 0.500
0.144 0.024 0.799
0.275 0.984 0.068
0.407 0.978 0.341
0.593 0.022 0.659
0.725 0.016 0.932
0.856 0.976 0.201
0.184 0.248 0.455
0.320 0.269 0.726
0.378 0.758 0.676
0.493 0.263 0.068
0.507 0.737 0.932
0.622 0.242 0.324
0.680 0.731 0.274
0.816 0.752 0.545
0.041 0.183 0.155
0.233 0.812 0.405
0.767 0.188 0.595
0.959 0.817 0.845
0.000 0.500 0.000
0.009 0.909 0.883
0.075 0.699 0.589
0.119 0.327 0.803
0.123 0.093 0.400
0.143 0.877 0.165
0.245 0.326 0.043
0.262 0.112 0.667
0.263 0.672 0.955
0.270 0.313 0.608
0.285 0.902 0.462
0.384 0.674 0.195
0.422 0.295 0.411
0.426 0.698 0.777
0.426 0.912 0.741
0.428 0.108 0.985
0.572 0.892 0.015
0.574 0.088 0.259
0.574 0.302 0.223
0.578 0.705 0.589
0.616 0.326 0.805
0.715 0.098 0.538
0.730 0.687 0.392
0.737 0.328 0.045
0.738 0.888 0.333
0.755 0.674 0.957
0.857 0.123 0.835
0.877 0.907 0.600
0.881 0.673 0.197
0.925 0.301 0.411
0.991 0.091 0.117
```

Largest 10 diffraction maxima, by angle, 2θ = 15–90°:
- 3.509 Å, 2θ = 25.4°, rel. 78
- 2.816 Å, 2θ = 31.8°, rel. 99
- 2.684 Å, 2θ = 33.4°, rel. 45
- 2.631 Å, 2θ = 34.1°, rel. 28
- 2.607 Å, 2θ = 34.4°, rel. 100
- 2.500 Å, 2θ = 35.9°, rel. 36
- 2.315 Å, 2θ = 38.9°, rel. 22
- 2.239 Å, 2θ = 40.3°, rel. 30
- 1.681 Å, 2θ = 54.6°, rel. 25
- 1.599 Å, 2θ = 57.6°, rel. 28

=====

2.
Diffraction record for Sr4MgFe2Br2O6. The powder XRD pattern is calculated, not measured: it uses a cell relaxed with GGA+U and Cu Kα, 1.54184 Å.

Structure:
```
Sr4MgFe2Br2O6
1.0
4.081 0.000 0.000
0.000 4.081 0.000
0.000 0.000 16.347
Sr Mg Fe Br O
4 1 2 2 6
Direct
0.000 0.500 0.123
0.000 0.500 0.319
0.500 0.000 0.681
0.500 0.000 0.877
0.000 0.000 0.000
0.000 0.500 0.797
0.500 0.000 0.203
0.000 0.500 0.596
0.500 0.000 0.404
0.000 0.000 0.212
0.000 0.000 0.788
0.000 0.500 0.952
0.500 0.000 0.048
0.500 0.500 0.218
0.500 0.500 0.782
```

Largest 10 diffraction maxima, by angle, 2θ = 15–90°:
- 2.887 Å, 2θ = 31.0°, rel. 100
- 2.552 Å, 2θ = 35.2°, rel. 19
- 2.357 Å, 2θ = 38.2°, rel. 22
- 2.266 Å, 2θ = 39.8°, rel. 40
- 2.041 Å, 2θ = 44.4°, rel. 34
- 1.667 Å, 2θ = 55.1°, rel. 18
- 1.517 Å, 2θ = 61.1°, rel. 25
- 1.443 Å, 2θ = 64.6°, rel. 10
- 1.291 Å, 2θ = 73.4°, rel. 9
- 1.217 Å, 2θ = 78.6°, rel. 9

=====

3.
Diffraction record for LiCo2C2O7. The powder XRD pattern is calculated, not measured: it uses a cell relaxed with GGA+U and Cu Kα, 1.54184 Å.

Structure:
```
LiCo2C2O7
1.0
2.415 -4.143 0.000
2.415 4.143 0.000
-0.447 0.000 15.654
Li Co C O
2 4 4 14
Direct
0.001 0.999 0.500
0.999 0.001 0.000
0.319 0.647 0.361
0.339 0.688 0.133
0.647 0.319 0.861
0.688 0.339 0.633
0.332 0.667 0.912
0.338 0.670 0.585
0.667 0.332 0.412
0.670 0.338 0.085
0.071 0.393 0.909
0.076 0.688 0.583
0.322 0.393 0.588
0.322 0.933 0.916
0.367 0.688 0.252
0.393 0.071 0.409
0.393 0.322 0.088
0.610 0.680 0.913
0.614 0.930 0.583
0.680 0.610 0.413
0.688 0.076 0.083
0.688 0.367 0.752
0.930 0.614 0.083
0.933 0.322 0.416
```

Largest 10 diffraction maxima, by angle, 2θ = 15–90°:
- 4.171 Å, 2θ = 21.3°, rel. 62
- 4.143 Å, 2θ = 21.5°, rel. 33
- 4.055 Å, 2θ = 21.9°, rel. 34
- 4.005 Å, 2θ = 22.2°, rel. 84
- 3.913 Å, 2θ = 22.7°, rel. 100
- 2.534 Å, 2θ = 35.4°, rel. 22
- 2.475 Å, 2θ = 36.3°, rel. 23
- 2.397 Å, 2θ = 37.5°, rel. 28
- 2.283 Å, 2θ = 39.5°, rel. 20
- 2.031 Å, 2θ = 44.6°, rel. 23